[1]
This entry pairs a crystal structure of TlInSe2 with its simulated PXRD pattern. Radiation: a wavelength of 1.5418 Å. Structure: a PBE-relaxed structure.

Atomic structure:
Cell lengths 6.804, 6.804, 6.804 Å; angles 105.30, 105.30, 118.17 degrees
Atoms (fractional coordinates):
Tl1 0.250 0.250 0.000
Tl2 0.750 0.750 0.000
In1 0.250 0.750 0.500
In2 0.750 0.250 0.500
Se1 0.171 0.671 0.841
Se2 0.329 0.171 0.500
Se3 0.671 0.829 0.500
Se4 0.829 0.329 0.159

Principal peaks in the range 2θ from 10° to 90°, in order of falling intensity:
33.60°, I = 100
30.63°, I = 52
21.53°, I = 49
27.32°, I = 30
40.25°, I = 27
51.42°, I = 27
49.37°, I = 26
56.37°, I = 22
78.17°, I = 17
74.82°, I = 17


[2]
This entry pairs a crystal structure of Ni with its simulated PXRD pattern. Radiation: a wavelength of 1.5418 Å. Structure: a PBE-relaxed structure.

Atomic structure:
Cell lengths 2.382, 2.382, 14.912 Å; angles 90.00, 90.00, 120.00 degrees
Atoms (fractional coordinates):
Ni1 0.000 0.000 0.076
Ni2 0.000 0.000 0.924

Principal peaks in the range 2θ from 10° to 90°, in order of falling intensity:
11.87°, I = 100
44.33°, I = 52
43.89°, I = 34
58.11°, I = 26
62.69°, I = 21
45.63°, I = 20
54.05°, I = 19
36.14°, I = 18
29.96°, I = 18
42.43°, I = 12


[3]
This entry pairs a crystal structure of Cr2B3 with its simulated PXRD pattern. Radiation: a wavelength of 1.5418 Å. Structure: a PBE-relaxed structure.

Atomic structure:
Cell lengths 9.200, 9.200, 2.951 Å; angles 90.00, 90.00, 161.64 degrees
Atoms (fractional coordinates):
Cr1 0.072 0.928 0.750
Cr2 0.203 0.797 0.250
Cr3 0.797 0.203 0.750
Cr4 0.928 0.072 0.250
B1 0.327 0.673 0.250
B2 0.381 0.619 0.750
B3 0.476 0.524 0.750
B4 0.524 0.476 0.250
B5 0.619 0.381 0.250
B6 0.673 0.327 0.750

Principal peaks in the range 2θ from 10° to 90°, in order of falling intensity:
46.12°, I = 100
36.31°, I = 90
46.72°, I = 63
30.86°, I = 38
39.69°, I = 29
81.99°, I = 20
75.28°, I = 18
73.16°, I = 18
63.01°, I = 16
59.79°, I = 16